Diffraction record for ScV9N9. The X-ray diffraction stick pattern is simulated, not measured: it uses DFT lattice parameters and positions (GGA-PBE) and CuKα.
Neutral-atom scattering factors, no anomalous dispersion.

Crystal structure
Lattice parameters (Å, degrees): 5.072 5.861 6.533 76.76 75.14 73.43
Element x y z (fractional)
Sc1 0.000 0.000 0.000
V1 0.000 0.500 0.000
V2 0.218 0.789 0.589
V3 0.221 0.312 0.593
V4 0.397 0.123 0.210
V5 0.406 0.587 0.215
V6 0.594 0.413 0.785
V7 0.603 0.877 0.790
V8 0.779 0.688 0.407
V9 0.782 0.211 0.411
N1 0.086 0.406 0.306
N2 0.098 0.897 0.313
N3 0.305 0.687 0.906
N4 0.318 0.201 0.895
N5 0.500 0.000 0.500
N6 0.682 0.799 0.105
N7 0.695 0.313 0.094
N8 0.902 0.103 0.687
N9 0.914 0.594 0.694

Largest 6 diffraction maxima, in order of rising 2θ, 2θ from 5° to 70°:
| 2θ (°) | d [Å] | I_rel |
| --- | --- | --- |
| 37.6 | 2.392 | 91 |
| 37.7 | 2.385 | 30 |
| 43.5 | 2.079 | 51 |
| 43.8 | 2.065 | 100 |
| 63.5 | 1.466 | 40 |
| 63.6 | 1.463 | 27 |

---

Diffraction record for Li3TiB2O6. The X-ray diffraction stick pattern is simulated, not measured: it uses DFT lattice parameters and positions (GGA-PBE) and CuKα.
Neutral-atom scattering factors, no anomalous dispersion.

Crystal structure
Lattice parameters (Å, degrees): 5.023 7.087 7.976 67.73 89.40 86.91
Element x y z (fractional)
Li1 0.138 0.440 0.237
Li2 0.157 0.261 0.647
Li3 0.347 0.390 0.951
Li4 0.653 0.610 0.049
Li5 0.843 0.739 0.353
Li6 0.862 0.560 0.763
Ti1 0.404 0.013 0.341
Ti2 0.596 0.987 0.659
B1 0.136 0.803 0.888
B2 0.334 0.656 0.570
B3 0.666 0.344 0.430
B4 0.864 0.197 0.112
O1 0.131 0.193 0.160
O2 0.187 0.777 0.415
O3 0.238 0.493 0.700
O4 0.263 0.641 0.018
O5 0.280 0.976 0.784
O6 0.411 0.261 0.429
O7 0.589 0.739 0.571
O8 0.720 0.024 0.216
O9 0.737 0.359 0.982
O10 0.762 0.507 0.300
O11 0.813 0.223 0.585
O12 0.869 0.807 0.840

Largest 6 diffraction maxima, in order of rising 2θ, 2θ from 5° to 70°:
| 2θ (°) | d [Å] | I_rel |
| --- | --- | --- |
| 12.0 | 7.380 | 69 |
| 13.5 | 6.549 | 56 |
| 14.3 | 6.203 | 100 |
| 22.7 | 3.911 | 46 |
| 28.8 | 3.101 | 83 |
| 29.3 | 3.053 | 59 |

---

Diffraction record for NaCeMg6O8. The X-ray diffraction stick pattern is simulated, not measured: it uses DFT lattice parameters and positions (GGA-PBE) and CuKα.
Neutral-atom scattering factors, no anomalous dispersion.

Crystal structure
Lattice parameters (Å, degrees): 4.500 4.500 9.054 90.00 90.00 90.00
Element x y z (fractional)
Na1 0.000 0.000 0.000
Ce1 0.000 0.000 0.500
Mg1 0.000 0.500 0.223
Mg2 0.000 0.500 0.777
Mg3 0.500 0.000 0.223
Mg4 0.500 0.000 0.777
Mg5 0.500 0.500 0.000
Mg6 0.500 0.500 0.500
O1 0.000 0.000 0.249
O2 0.000 0.000 0.751
O3 0.000 0.500 0.000
O4 0.000 0.500 0.500
O5 0.500 0.000 0.000
O6 0.500 0.000 0.500
O7 0.500 0.500 0.251
O8 0.500 0.500 0.749

Largest 6 diffraction maxima, in order of rising 2θ, 2θ from 5° to 70°:
| 2θ (°) | d [Å] | I_rel |
| --- | --- | --- |
| 9.8 | 9.054 | 65 |
| 22.1 | 4.030 | 62 |
| 28.0 | 3.188 | 50 |
| 34.5 | 2.603 | 49 |
| 40.1 | 2.250 | 100 |
| 57.8 | 1.596 | 55 |

---

Diffraction record for Te2MoW2Se2S2. The X-ray diffraction stick pattern is simulated, not measured: it uses DFT lattice parameters and positions (GGA-PBE) and CuKα.
Neutral-atom scattering factors, no anomalous dispersion.

Crystal structure
Lattice parameters (Å, degrees): 3.349 3.349 31.066 90.00 90.00 120.00
Element x y z (fractional)
Te1 0.000 0.000 0.000
Te2 0.000 0.000 0.123
Mo1 0.000 0.000 0.830
W1 0.000 0.000 0.293
W2 0.333 0.667 0.061
Se1 0.333 0.667 0.776
Se2 0.333 0.667 0.884
S1 0.333 0.667 0.244
S2 0.333 0.667 0.342

Largest 6 diffraction maxima, in order of rising 2θ, 2θ from 5° to 70°:
| 2θ (°) | d [Å] | I_rel |
| --- | --- | --- |
| 11.4 | 7.767 | 100 |
| 30.8 | 2.900 | 28 |
| 35.5 | 2.530 | 50 |
| 37.0 | 2.428 | 58 |
| 44.8 | 2.023 | 37 |
| 54.9 | 1.674 | 31 |

---

Diffraction record for PrCd20Pd2. The X-ray diffraction stick pattern is simulated, not measured: it uses DFT lattice parameters and positions (GGA-PBE) and CuKα.
Neutral-atom scattering factors, no anomalous dispersion.

Crystal structure
Lattice parameters (Å, degrees): 11.293 11.293 11.293 60.00 60.00 60.00
Element x y z (fractional)
Pr1 0.125 0.125 0.125
Pr2 0.875 0.875 0.875
Cd1 0.000 0.000 0.000
Cd2 0.000 0.000 0.500
Cd3 0.000 0.500 0.000
Cd4 0.056 0.323 0.323
Cd5 0.056 0.323 0.798
Cd6 0.056 0.798 0.323
Cd7 0.202 0.677 0.677
Cd8 0.202 0.677 0.944
Cd9 0.202 0.944 0.677
Cd10 0.237 0.237 0.513
Cd11 0.237 0.513 0.237
Cd12 0.237 0.513 0.513
Cd13 0.323 0.056 0.323
Cd14 0.323 0.056 0.798
Cd15 0.323 0.323 0.056
Cd16 0.323 0.323 0.798
Cd17 0.323 0.798 0.056
Cd18 0.323 0.798 0.323
Cd19 0.487 0.487 0.763
Cd20 0.487 0.763 0.487
Cd21 0.487 0.763 0.763
Cd22 0.500 0.000 0.000
Cd23 0.513 0.237 0.237
Cd24 0.513 0.237 0.513
Cd25 0.513 0.513 0.237
Cd26 0.677 0.202 0.677
Cd27 0.677 0.202 0.944
Cd28 0.677 0.677 0.202
Cd29 0.677 0.677 0.944
Cd30 0.677 0.944 0.202
Cd31 0.677 0.944 0.677
Cd32 0.763 0.487 0.487
Cd33 0.763 0.487 0.763
Cd34 0.763 0.763 0.487
Cd35 0.798 0.056 0.323
Cd36 0.798 0.323 0.056
Cd37 0.798 0.323 0.323
Cd38 0.944 0.202 0.677
Cd39 0.944 0.677 0.202
Cd40 0.944 0.677 0.677
Pd1 0.000 0.500 0.500
Pd2 0.500 0.000 0.500
Pd3 0.500 0.500 0.000
Pd4 0.500 0.500 0.500

Largest 6 diffraction maxima, in order of rising 2θ, 2θ from 5° to 70°:
| 2θ (°) | d [Å] | I_rel |
| --- | --- | --- |
| 33.2 | 2.700 | 100 |
| 35.6 | 2.525 | 43 |
| 36.9 | 2.436 | 83 |
| 37.3 | 2.408 | 92 |
| 40.3 | 2.236 | 36 |
| 66.2 | 1.412 | 54 |

---

Diffraction record for Na6P4W. The X-ray diffraction stick pattern is simulated, not measured: it uses DFT lattice parameters and positions (GGA-PBE) and CuKα.
Neutral-atom scattering factors, no anomalous dispersion.

Crystal structure
Lattice parameters (Å, degrees): 9.171 9.171 7.192 90.00 90.00 120.00
Element x y z (fractional)
Na1 0.066 0.533 0.000
Na2 0.148 0.296 0.677
Na3 0.148 0.852 0.677
Na4 0.296 0.148 0.177
Na5 0.467 0.533 0.000
Na6 0.467 0.934 0.000
Na7 0.533 0.066 0.500
Na8 0.533 0.467 0.500
Na9 0.704 0.852 0.677
Na10 0.852 0.148 0.177
Na11 0.852 0.704 0.177
Na12 0.934 0.467 0.500
P1 0.194 0.389 0.286
P2 0.194 0.806 0.286
P3 0.333 0.667 0.710
P4 0.389 0.194 0.786
P5 0.611 0.806 0.286
P6 0.667 0.333 0.210
P7 0.806 0.194 0.786
P8 0.806 0.611 0.786
W1 0.333 0.667 0.388
W2 0.667 0.333 0.888

Largest 6 diffraction maxima, in order of rising 2θ, 2θ from 5° to 70°:
| 2θ (°) | d [Å] | I_rel |
| --- | --- | --- |
| 11.1 | 7.942 | 63 |
| 16.6 | 5.331 | 100 |
| 19.4 | 4.585 | 33 |
| 31.6 | 2.830 | 25 |
| 32.3 | 2.770 | 53 |
| 39.3 | 2.294 | 53 |

---

Diffraction record for Pr3Ni4Ge4. The X-ray diffraction stick pattern is simulated, not measured: it uses DFT lattice parameters and positions (GGA-PBE) and CuKα.
Neutral-atom scattering factors, no anomalous dispersion.

Crystal structure
Lattice parameters (Å, degrees): 12.382 12.382 12.382 160.62 160.59 27.56
Element x y z (fractional)
Pr1 0.000 0.000 0.000
Pr2 0.151 0.651 0.500
Pr3 0.849 0.349 0.500
Ni1 0.249 0.249 0.000
Ni2 0.401 0.901 0.500
Ni3 0.599 0.099 0.500
Ni4 0.751 0.751 0.000
Ge1 0.301 0.801 0.500
Ge2 0.447 0.447 0.000
Ge3 0.553 0.553 0.000
Ge4 0.699 0.199 0.500

Largest 6 diffraction maxima, in order of rising 2θ, 2θ from 5° to 70°:
| 2θ (°) | d [Å] | I_rel |
| --- | --- | --- |
| 31.2 | 2.864 | 18 |
| 33.8 | 2.650 | 100 |
| 40.1 | 2.250 | 20 |
| 43.4 | 2.085 | 41 |
| 56.1 | 1.639 | 19 |
| 63.0 | 1.475 | 13 |

---

Diffraction record for TbGdIr2. The X-ray diffraction stick pattern is simulated, not measured: it uses DFT lattice parameters and positions (GGA-PBE) and CuKα.
Neutral-atom scattering factors, no anomalous dispersion.

Crystal structure
Lattice parameters (Å, degrees): 4.897 4.897 4.897 60.00 60.00 60.00
Element x y z (fractional)
Tb1 0.000 0.000 0.000
Gd1 0.500 0.500 0.500
Ir1 0.250 0.250 0.250
Ir2 0.750 0.750 0.750

Largest 4 diffraction maxima, in order of rising 2θ, 2θ from 5° to 70°:
| 2θ (°) | d [Å] | I_rel |
| --- | --- | --- |
| 25.7 | 3.463 | 1 |
| 36.7 | 2.449 | 100 |
| 52.9 | 1.731 | 18 |
| 66.1 | 1.414 | 36 |

---

Diffraction record for YMg6Mo. The X-ray diffraction stick pattern is simulated, not measured: it uses DFT lattice parameters and positions (GGA-PBE) and CuKα.
Neutral-atom scattering factors, no anomalous dispersion.

Crystal structure
Lattice parameters (Å, degrees): 5.071 6.556 6.556 55.00 90.00 90.00
Element x y z (fractional)
Y1 0.000 0.000 0.000
Mg1 0.000 0.499 0.998
Mg2 0.000 0.998 0.499
Mg3 0.500 0.161 0.161
Mg4 0.500 0.167 0.643
Mg5 0.500 0.633 0.633
Mg6 0.500 0.643 0.167
Mo1 0.000 0.489 0.489

Largest 6 diffraction maxima, in order of rising 2θ, 2θ from 5° to 70°:
| 2θ (°) | d [Å] | I_rel |
| --- | --- | --- |
| 15.2 | 5.816 | 57 |
| 17.5 | 5.071 | 39 |
| 33.4 | 2.685 | 41 |
| 35.4 | 2.535 | 42 |
| 35.6 | 2.522 | 70 |
| 37.9 | 2.373 | 100 |